Record 1
Calculated powder X-ray diffraction pattern of Rb2NdCuI6 for Cu Kα X-rays, from DFT lattice parameters and positions (GGA-PBE).
Neutral-atom scattering factors, no anomalous dispersion.

Cell and atoms:
abc: 11.979 11.979 11.979
angles: 90.00 90.00 90.00
Space group Fm-3m (No. 225)
Unique sites:
1 Rb 0.250 0.250 0.250 (multiplicity 8)
2 Nd 0.000 0.000 0.000 (multiplicity 4)
3 Cu 0.000 0.000 0.500 (multiplicity 4)
4 I 0.000 0.000 0.260 (multiplicity 24)

Principal peaks in the range 2θ = 15–90°, low angle first:
h k l  2θ/deg  I/Imax
2 2 2  25.76  76.0
4 0 0  29.83  100.0
4 4 0  42.70  73.1
6 2 2  50.54  33.4
4 4 4  52.96  25.3
8 4 0  70.29  31.5

Record 2
Calculated powder X-ray diffraction pattern of Sm2SiTeO4 for Cu Kα X-rays, from DFT lattice parameters and positions (GGA-PBE).
Neutral-atom scattering factors, no anomalous dispersion.

Cell and atoms:
abc: 9.894 6.395 8.704
angles: 90.00 95.49 90.00
Space group P2_1/c (No. 14)
Unique sites:
1 Sm 0.108 0.154 0.195 (multiplicity 4)
2 Sm 0.345 0.696 0.336 (multiplicity 4)
3 Si 0.125 0.691 0.056 (multiplicity 4)
4 Te 0.411 0.214 0.380 (multiplicity 4)
5 O 0.022 0.196 0.923 (multiplicity 4)
6 O 0.125 0.634 0.873 (multiplicity 4)
7 O 0.160 0.507 0.183 (multiplicity 4)
8 O 0.247 0.634 0.591 (multiplicity 4)

Principal peaks in the range 2θ = 15–90°, low angle first:
h k l  2θ/deg  I/Imax
2 0 -2  26.06  100.0
0 2 0  27.90  63.6
2 0 2  28.72  67.7
0 2 1  29.78  62.2
2 1 2  32.02  66.3
2 2 1  35.57  44.7

Record 3
Calculated powder X-ray diffraction pattern of MgMo3WSe2S6 for Cu Kα X-rays, from DFT lattice parameters and positions (GGA-PBE).
Neutral-atom scattering factors, no anomalous dispersion.

Cell and atoms:
abc: 3.218 3.218 37.138
angles: 90.00 90.00 60.00
Space group P1 (No. 1)
Unique sites:
1 Mg 0.000 0.000 0.000 (multiplicity 1)
2 Mo 0.136 0.940 0.790 (multiplicity 1)
3 Mo 0.803 0.607 0.225 (multiplicity 1)
4 Mo 0.803 0.607 0.602 (multiplicity 1)
5 W 0.136 0.940 0.414 (multiplicity 1)
6 Se 0.136 0.940 0.179 (multiplicity 1)
7 Se 0.136 0.940 0.271 (multiplicity 1)
8 S 0.136 0.940 0.560 (multiplicity 1)
9 S 0.136 0.940 0.643 (multiplicity 1)
10 S 0.802 0.606 0.372 (multiplicity 1)
11 S 0.802 0.606 0.456 (multiplicity 1)
12 S 0.802 0.606 0.748 (multiplicity 1)
13 S 0.802 0.606 0.832 (multiplicity 1)

Principal peaks in the range 2θ = 15–90°, low angle first:
h k l  2θ/deg  I/Imax
1 0 0  32.13  59.0
1 0 5  34.37  29.0
1 0 -8  37.64  100.0
1 0 -13  45.47  66.5
1 0 14  47.31  24.8
1 2 0  57.26  35.2

Record 4
Calculated powder X-ray diffraction pattern of Zr2V3Ge4 for Cu Kα X-rays, from DFT lattice parameters and positions (GGA-PBE).
Neutral-atom scattering factors, no anomalous dispersion.

Cell and atoms:
abc: 6.670 12.853 6.777
angles: 90.00 90.00 90.00
Space group Pnma (No. 62)
Unique sites:
1 Zr 0.011 0.093 0.173 (multiplicity 8)
2 V 0.161 0.626 0.338 (multiplicity 8)
3 V 0.163 0.250 0.510 (multiplicity 4)
4 Ge 0.034 0.250 0.872 (multiplicity 4)
5 Ge 0.177 0.043 0.546 (multiplicity 8)
6 Ge 0.191 0.750 0.642 (multiplicity 4)

Principal peaks in the range 2θ = 15–90°, low angle first:
h k l  2θ/deg  I/Imax
1 3 2  36.39  100.0
2 3 1  36.63  91.1
0 4 2  38.58  28.6
0 6 0  42.21  43.1
3 0 1  42.82  84.3
1 6 3  61.21  23.5

Record 5
Calculated powder X-ray diffraction pattern of WSCl4 for Cu Kα X-rays, from DFT lattice parameters and positions (GGA-PBE).
Neutral-atom scattering factors, no anomalous dispersion.

Cell and atoms:
abc: 6.837 8.282 8.382
angles: 101.76 93.25 98.92
Space group P-1 (No. 2)
Unique sites:
1 W 0.153 0.218 0.262 (multiplicity 2)
2 S 0.328 0.288 0.487 (multiplicity 2)
3 Cl 0.039 0.458 0.233 (multiplicity 2)
4 Cl 0.160 0.875 0.671 (multiplicity 2)
5 Cl 0.175 0.938 0.172 (multiplicity 2)
6 Cl 0.372 0.271 0.073 (multiplicity 2)

Principal peaks in the range 2θ = 15–90°, low angle first:
h k l  2θ/deg  I/Imax
1 -1 0  15.71  96.4
1 0 -1  16.29  62.2
0 1 1  17.11  100.0
1 0 1  17.83  67.0
0 0 2  21.75  48.7
1 0 2  26.54  49.6

Record 6
Calculated powder X-ray diffraction pattern of Rb3IO for Cu Kα X-rays, from DFT lattice parameters and positions (GGA-PBE).
Neutral-atom scattering factors, no anomalous dispersion.

Cell and atoms:
abc: 8.0497 8.0497 20.0129
angles: 90.00 90.00 120.00
Space group P6_3/mmc (No. 194)
Unique sites:
1 Rb 0.0407 0.5204 0.2500 (multiplicity 6)
2 Rb 0.1660 0.3319 0.0813 (multiplicity 12)
3 I 0.0000 0.0000 0.2500 (multiplicity 2)
4 I 0.3333 0.6667 0.5892 (multiplicity 4)
5 O 0.0000 0.0000 0.0000 (multiplicity 2)
6 O 0.3333 0.6667 0.1588 (multiplicity 4)

Principal peaks in the range 2θ = 15–90°, low angle first:
h k l  2θ/deg  I/Imax
0 0 6  26.73  55.9
2 0 2  27.09  76.7
2 0 3  28.90  100.0
2 0 4  31.28  65.0
2 2 0  45.05  44.8
2 2 6  53.15  44.7